(1)
# KAgSb4
Simulated powder diffractogram, Cu Kα (weighted mean of Kα1 and Kα2). Input: a cell relaxed with GGA-PBE.
No peak broadening, texture or thermal motion is included.

Top 6 peaks for 5 to 70 degrees two-theta, by intensity:
two_theta  Rel. int.
33.06  100
34.57  56
52.94  34
58.05  31
17.09  29
69.36  21

Cell and atoms:
a b c (Å): 6.355 6.355 6.355
angles (deg): 60.00 60.00 60.00
Atoms (fractional coordinates):
1 K 0.000 0.000 0.000
2 Ag 0.250 0.250 0.250
3 Sb 0.132 0.623 0.623
4 Sb 0.623 0.132 0.623
5 Sb 0.623 0.623 0.132
6 Sb 0.623 0.623 0.623

(2)
# KAgSb2
Simulated powder diffractogram, Cu Kα (weighted mean of Kα1 and Kα2). Input: a cell relaxed with GGA-PBE.
No peak broadening, texture or thermal motion is included.

Top 6 peaks for 5 to 70 degrees two-theta, by intensity:
two_theta  Rel. int.
29.89  100
31.30  59
37.15  57
36.04  54
39.52  53
19.37  38

Cell and atoms:
a b c (Å): 4.984 11.666 7.887
angles (deg): 90.00 90.00 90.00
Atoms (fractional coordinates):
1 K 0.000 0.083 0.250
2 K 0.000 0.917 0.750
3 K 0.500 0.417 0.750
4 K 0.500 0.583 0.250
5 Ag 0.000 0.204 0.750
6 Ag 0.000 0.796 0.250
7 Ag 0.500 0.296 0.250
8 Ag 0.500 0.704 0.750
9 Sb 0.000 0.379 0.050
10 Sb 0.000 0.379 0.450
11 Sb 0.000 0.621 0.550
12 Sb 0.000 0.621 0.950
13 Sb 0.500 0.121 0.550
14 Sb 0.500 0.121 0.950
15 Sb 0.500 0.879 0.050
16 Sb 0.500 0.879 0.450

(3)
# KAg3Sb3
Simulated powder diffractogram, Cu Kα (weighted mean of Kα1 and Kα2). Input: a cell relaxed with GGA-PBE.
No peak broadening, texture or thermal motion is included.

Top 6 peaks for 5 to 70 degrees two-theta, by intensity:
two_theta  Rel. int.
28.34  100
16.25  91
40.51  73
43.91  58
47.12  43
23.06  42

Cell and atoms:
a b c (Å): 7.715 7.715 7.715
angles (deg): 90.00 90.00 90.00
Atoms (fractional coordinates):
1 K 0.000 0.000 0.000
2 K 0.500 0.500 0.500
3 Ag 0.000 0.250 0.500
4 Ag 0.000 0.750 0.500
5 Ag 0.250 0.500 0.000
6 Ag 0.500 0.000 0.250
7 Ag 0.500 0.000 0.750
8 Ag 0.750 0.500 0.000
9 Sb 0.000 0.500 0.250
10 Sb 0.000 0.500 0.750
11 Sb 0.250 0.000 0.500
12 Sb 0.500 0.250 0.000
13 Sb 0.500 0.750 0.000
14 Sb 0.750 0.000 0.500